For Nd4GeAsSe2, a DFT-relaxed cell (GGA-PBE, Alexandria) gives the simulated powder XRD pattern in this record (Cu Kα (weighted mean of Kα1 and Kα2)).
No peak broadening, texture or thermal motion is included.

Structure:
Cell lengths 7.394, 4.271, 7.408 Å; angles 90.00, 109.40, 90.00 degrees
Space group P2/m (No. 10)
Unique sites:
Nd 0.245 0.000 0.240 x2
Nd 0.252 0.500 0.761 x2
Ge 0.000 0.500 0.000 x1
As 0.500 0.000 0.000 x1
Se 0.000 0.000 0.500 x1
Se 0.500 0.500 0.500 x1

Most intense lines, 2θ = 10–80°, sorted by position:
(2 0 0), 25.53°, I 17
(1 1 1), 29.56°, I 100
(0 2 0), 42.30°, I 75
(2 2 0), 50.06°, I 7
(0 0 4), 52.38°, I 6
(4 0 0), 52.48°, I 20
(2 2 2), 61.37°, I 12
(4 2 0), 69.56°, I 28
(1 1 5), 77.25°, I 6
(3 3 -1), 77.40°, I 19